No. 1
This entry pairs a crystal structure of Sr4In12Ag with its computed XRD peak list. Radiation: Cu Kα (weighted mean of Kα1 and Kα2). Structure: a structure optimized by DFT (PBE).
Lines closer than 0.1° are merged.

Atomic structure:
```
data_Sr4In12Ag
_chemical_formula_sum 'Sr4 In12 Ag1'
_symmetry_space_group_name_H-M 'P 1'
_symmetry_Int_Tables_number 1
_cell_length_a 8.537
_cell_length_b 8.537
_cell_length_c 8.537
_cell_angle_alpha 109.47
_cell_angle_beta 109.47
_cell_angle_gamma 109.47
loop_
_symmetry_equiv_pos_as_xyz
'x,y,z'
loop_
_atom_site_label
_atom_site_type_symbol
_atom_site_fract_x
_atom_site_fract_y
_atom_site_fract_z
Sr1 Sr 0.000 0.000 0.500
Sr2 Sr 0.000 0.500 0.000
Sr3 Sr 0.500 0.000 0.000
Sr4 Sr 0.500 0.500 0.500
In1 In 0.000 0.293 0.293
In2 In 0.000 0.707 0.707
In3 In 0.250 0.500 0.750
In4 In 0.250 0.750 0.500
In5 In 0.293 0.000 0.293
In6 In 0.293 0.293 0.000
In7 In 0.500 0.250 0.750
In8 In 0.500 0.750 0.250
In9 In 0.707 0.000 0.707
In10 In 0.707 0.707 0.000
In11 In 0.750 0.250 0.500
In12 In 0.750 0.500 0.250
Ag1 Ag 0.000 0.000 0.000
```

Principal peaks in the range 2θ from 10° to 90°, in order of falling intensity:
Position (°2θ), intensity
31.44, 100.0
36.46, 64.1
52.51, 37.8
62.50, 30.0
34.03, 12.8
88.77, 12.5
43.04, 12.1
65.61, 10.8
85.96, 8.9
70.15, 8.8



No. 2
This entry pairs a crystal structure of Sr2In5Ag5 with its computed XRD peak list. Radiation: Cu Kα (weighted mean of Kα1 and Kα2). Structure: a structure optimized by DFT (PBE).
Lines closer than 0.1° are merged.

Atomic structure:
```
data_Sr2In5Ag5
_chemical_formula_sum 'Sr2 In5 Ag5'
_symmetry_space_group_name_H-M 'P 1'
_symmetry_Int_Tables_number 1
_cell_length_a 4.685
_cell_length_b 6.111
_cell_length_c 10.343
_cell_angle_alpha 90.00
_cell_angle_beta 90.00
_cell_angle_gamma 90.00
loop_
_symmetry_equiv_pos_as_xyz
'x,y,z'
loop_
_atom_site_label
_atom_site_type_symbol
_atom_site_fract_x
_atom_site_fract_y
_atom_site_fract_z
Sr1 Sr 0.000 0.000 0.000
Sr2 Sr 0.000 0.500 0.500
In1 In 0.500 0.000 0.500
In2 In 0.500 0.248 0.240
In3 In 0.500 0.248 0.760
In4 In 0.500 0.752 0.240
In5 In 0.500 0.752 0.760
Ag1 Ag 0.000 0.000 0.333
Ag2 Ag 0.000 0.000 0.667
Ag3 Ag 0.000 0.500 0.160
Ag4 Ag 0.000 0.500 0.840
Ag5 Ag 0.500 0.500 0.000
```

Principal peaks in the range 2θ from 10° to 90°, in order of falling intensity:
Position (°2θ), intensity
35.51, 100.0
39.28, 54.0
35.06, 52.9
38.43, 48.0
16.85, 35.7
34.08, 33.5
39.82, 28.7
55.99, 25.4
75.16, 23.7
61.79, 22.5



No. 3
This entry pairs a crystal structure of Sr3In6Ag5 with its computed XRD peak list. Radiation: Cu Kα (weighted mean of Kα1 and Kα2). Structure: a structure optimized by DFT (PBE).
Lines closer than 0.1° are merged.

Atomic structure:
```
data_Sr3In6Ag5
_chemical_formula_sum 'Sr6 In12 Ag10'
_symmetry_space_group_name_H-M 'P 1'
_symmetry_Int_Tables_number 1
_cell_length_a 4.745
_cell_length_b 14.209
_cell_length_c 10.587
_cell_angle_alpha 90.00
_cell_angle_beta 90.00
_cell_angle_gamma 90.00
loop_
_symmetry_equiv_pos_as_xyz
'x,y,z'
loop_
_atom_site_label
_atom_site_type_symbol
_atom_site_fract_x
_atom_site_fract_y
_atom_site_fract_z
Sr1 Sr 0.250 0.052 0.244
Sr2 Sr 0.250 0.448 0.244
Sr3 Sr 0.250 0.750 0.263
Sr4 Sr 0.750 0.250 0.737
Sr5 Sr 0.750 0.552 0.756
Sr6 Sr 0.750 0.948 0.756
In1 In 0.250 0.071 0.586
In2 In 0.250 0.250 0.035
In3 In 0.250 0.250 0.417
In4 In 0.250 0.429 0.586
In5 In 0.250 0.600 0.984
In6 In 0.250 0.900 0.984
In7 In 0.750 0.100 0.016
In8 In 0.750 0.400 0.016
In9 In 0.750 0.571 0.414
In10 In 0.750 0.750 0.583
In11 In 0.750 0.750 0.965
In12 In 0.750 0.929 0.414
Ag1 Ag 0.250 0.093 0.858
Ag2 Ag 0.250 0.407 0.858
Ag3 Ag 0.250 0.635 0.547
Ag4 Ag 0.250 0.750 0.784
Ag5 Ag 0.250 0.865 0.547
Ag6 Ag 0.750 0.135 0.453
Ag7 Ag 0.750 0.250 0.216
Ag8 Ag 0.750 0.365 0.453
Ag9 Ag 0.750 0.593 0.142
Ag10 Ag 0.750 0.907 0.142
```

Principal peaks in the range 2θ from 10° to 90°, in order of falling intensity:
Position (°2θ), intensity
31.60, 100.0
37.91, 48.1
40.75, 27.5
34.08, 25.2
37.99, 18.4
36.99, 16.7
36.87, 15.7
38.97, 13.5
39.50, 12.7
32.60, 12.5